Record 1
Structure and theoretical X-ray diffraction stick pattern of CeScO3 (a DFT-relaxed cell (PBE, the Materials Project); Cu Kα (λ = 1.5418 Å)).
No peak broadening, texture or thermal motion is included.

Structural model:
```
20
Lattice="5.838 0.000 0.000 0.000 8.067 0.000 0.000 0.000 5.636" Properties=species:S:1:pos:R:3 pbc="T T T"
Ce 0.339 2.017 0.083
Ce 2.580 6.050 2.902
Ce 3.258 2.017 2.735
Ce 5.499 6.050 5.553
Sc 0.000 0.000 2.818
Sc 0.000 4.034 2.818
Sc 2.919 0.000 0.000
Sc 2.919 4.034 0.000
O 0.250 6.050 2.173
O 1.148 4.514 4.536
O 1.148 7.587 4.536
O 1.770 0.480 1.717
O 1.770 3.553 1.717
O 2.668 2.017 4.991
O 3.169 6.050 0.645
O 4.067 4.514 3.919
O 4.067 7.587 3.919
O 4.689 0.480 1.101
O 4.689 3.553 1.101
O 5.587 2.017 3.463
```

Top 10 peaks for 2θ = 10–90°, sorted by position:
21.92°, I = 26; 22.04°, I = 17; 24.57°, I = 17; 30.63°, I = 19; 31.28°, I = 100; 31.75°, I = 24; 44.70°, I = 20; 44.95°, I = 14; 50.92°, I = 18; 56.27°, I = 24

Record 2
Structure and theoretical X-ray diffraction stick pattern of SrCeScO4 (a DFT-relaxed cell (PBE, the Materials Project); Cu Kα (λ = 1.5418 Å)).
No peak broadening, texture or thermal motion is included.

Structural model:
```
14
Lattice="2.859 -6.207 0.000 2.859 6.207 0.000 0.000 0.000 5.881" Properties=species:S:1:pos:R:3 pbc="T T T"
Sr 2.859 4.911 2.940
Sr 2.859 -4.911 0.000
Ce 2.859 1.334 3.124
Ce 2.859 -1.334 0.183
Sc 2.859 3.166 0.116
Sc 2.859 -3.166 3.057
O 1.460 2.822 1.605
O 2.859 5.169 0.471
O 2.859 0.820 5.449
O 1.460 -2.822 4.545
O 4.258 2.822 1.605
O 2.859 -0.820 2.509
O 2.859 -5.169 3.411
O 4.258 -2.822 4.545
```

Top 10 peaks for 2θ = 10–90°, sorted by position:
22.85°, I = 27; 30.40°, I = 34; 30.70°, I = 100; 31.29°, I = 36; 42.35°, I = 15; 43.02°, I = 15; 44.19°, I = 37; 54.21°, I = 30; 55.32°, I = 19; 56.54°, I = 12

Record 3
Structure and theoretical X-ray diffraction stick pattern of Ce2SeO2 (a DFT-relaxed cell (PBE, the Materials Project); Cu Kα (λ = 1.5418 Å)).
No peak broadening, texture or thermal motion is included.

Structural model:
```
5
Lattice="3.989 0.000 0.000 -1.994 3.455 0.000 0.000 0.000 7.043" Properties=species:S:1:pos:R:3 pbc="T T T"
Ce 0.000 2.303 1.481
Ce 1.994 1.152 5.561
Se 0.000 0.000 3.521
O 0.000 2.303 6.158
O 1.994 1.152 0.885
```

Top 10 peaks for 2θ = 10–90°, sorted by position:
25.29°, I = 10; 28.79°, I = 100; 36.43°, I = 42; 38.34°, I = 11; 45.48°, I = 35; 46.79°, I = 17; 54.72°, I = 17; 59.62°, I = 10; 60.95°, I = 16; 73.81°, I = 14

Record 4
Structure and theoretical X-ray diffraction stick pattern of Ce2SeO2 (a DFT-relaxed cell (PBE, the Materials Project); Cu Kα (λ = 1.5418 Å)).
No peak broadening, texture or thermal motion is included.

Structural model:
```
10
Lattice="3.948 0.000 0.000 0.000 3.948 0.000 0.000 0.000 12.494" Properties=species:S:1:pos:R:3 pbc="T T T"
Ce 0.000 0.000 1.877
Ce 0.000 0.000 10.617
Ce 1.974 1.974 4.370
Ce 1.974 1.974 8.124
Se 0.000 0.000 6.247
Se 1.974 1.974 0.000
O 0.000 1.974 3.124
O 0.000 1.974 9.371
O 1.974 0.000 3.124
O 1.974 0.000 9.371
```

Top 10 peaks for 2θ = 10–90°, sorted by position:
23.63°, I = 12; 31.22°, I = 100; 32.06°, I = 41; 43.47°, I = 17; 45.97°, I = 22; 55.02°, I = 21; 56.62°, I = 42; 75.80°, I = 12; 76.26°, I = 8; 89.89°, I = 8

Record 5
Structure and theoretical X-ray diffraction stick pattern of Ce4Se3O4 (a DFT-relaxed cell (PBE, the Materials Project); Cu Kα (λ = 1.5418 Å)).
No peak broadening, texture or thermal motion is included.

Structural model:
```
11
Lattice="8.610 0.000 0.000 0.000 1.975 6.329 0.000 -1.975 6.329" Properties=species:S:1:pos:R:3 pbc="T T T"
Ce 0.000 0.000 0.000
Ce 2.060 0.000 8.736
Ce 4.305 0.000 0.171
Ce 6.550 0.000 8.736
Se 0.000 0.000 3.914
Se 2.861 0.000 4.636
Se 5.748 0.000 4.636
O 0.000 0.000 7.470
O 2.125 0.000 1.166
O 4.305 0.000 7.843
O 6.485 0.000 1.166
```

Top 10 peaks for 2θ = 10–90°, sorted by position:
25.02°, I = 58; 31.01°, I = 100; 31.54°, I = 59; 35.20°, I = 30; 41.98°, I = 14; 45.94°, I = 21; 47.60°, I = 23; 53.06°, I = 37; 59.16°, I = 14; 60.25°, I = 14

Record 6
Structure and theoretical X-ray diffraction stick pattern of Ce2Se4O17 (a DFT-relaxed cell (PBE, the Materials Project); Cu Kα (λ = 1.5418 Å)).
No peak broadening, texture or thermal motion is included.

Structural model:
```
46
Lattice="6.159 -8.114 0.000 6.159 8.114 0.000 -5.962 0.000 7.283" Properties=species:S:1:pos:R:3 pbc="T T T"
Ce 3.178 7.443 3.642
Ce 6.180 2.228 0.012
Ce 3.199 -2.228 3.654
Ce 6.159 -7.443 0.000
Se 0.617 5.471 5.135
Se 0.576 0.788 3.767
Se 5.777 5.465 2.166
Se 3.557 -0.788 0.126
Se 5.812 0.772 3.507
Se 3.598 -5.471 1.494
Se 2.831 -0.772 7.148
Se 2.797 -5.465 5.807
O 0.660 7.005 5.832
O 1.751 5.515 3.913
O 0.438 1.524 2.275
O -1.852 2.881 6.495
O 5.786 6.956 1.387
O 2.650 3.333 2.214
O 2.177 0.081 0.511
O -0.804 -0.081 4.152
O 1.027 4.300 6.223
O 5.409 4.259 1.103
O 4.577 5.513 3.327
O 0.741 1.961 4.947
O -2.543 -1.524 5.916
O 4.870 0.242 0.128
O 1.889 -0.242 3.770
O 1.129 -2.881 2.853
O 5.552 1.934 2.340
O 3.721 -1.961 1.306
O 8.204 2.912 0.911
O -0.331 -3.333 5.856
O 1.575 0.333 7.174
O 4.556 -0.333 3.532
O 5.970 1.509 4.991
O 2.572 -1.934 5.982
O 4.732 -5.515 0.272
O 4.008 -4.300 2.582
O 2.428 -4.259 4.745
O 4.229 0.034 6.697
O 7.210 -0.034 3.056
O 3.641 -7.005 2.190
O 5.223 -2.912 4.553
O 8.950 -1.509 1.349
O 1.596 -5.513 6.968
O 2.805 -6.956 5.028
```

Top 10 peaks for 2θ = 10–90°, sorted by position:
10.94°, I = 100; 16.35°, I = 37; 18.09°, I = 29; 23.01°, I = 43; 25.84°, I = 59; 26.31°, I = 51; 26.83°, I = 39; 29.01°, I = 33; 30.25°, I = 40; 30.90°, I = 37

Record 7
Structure and theoretical X-ray diffraction stick pattern of Ce2Ta3Se2O8 (a DFT-relaxed cell (PBE, the Materials Project); Cu Kα (λ = 1.5418 Å)).
No peak broadening, texture or thermal motion is included.

Structural model:
```
60
Lattice="10.018 0.000 0.000 0.000 12.001 0.000 0.000 0.000 7.664" Properties=species:S:1:pos:R:3 pbc="T T T"
Ce 2.120 1.871 0.000
Ce 2.279 1.787 3.832
Ce 2.730 7.787 0.000
Ce 2.889 7.871 3.832
Ce 7.129 4.129 3.832
Ce 7.289 4.214 0.000
Ce 7.739 10.214 3.832
Ce 7.898 10.129 0.000
Ta 0.000 6.000 2.194
Ta 0.000 6.000 5.470
Ta 1.357 10.995 1.914
Ta 1.357 10.995 5.750
Ta 3.652 4.994 1.918
Ta 3.652 4.994 5.746
Ta 5.009 0.000 1.638
Ta 5.009 0.000 6.026
Ta 6.366 7.006 1.918
Ta 6.366 7.006 5.746
Ta 8.661 1.006 1.914
Ta 8.661 1.006 5.750
Se 0.188 4.028 3.832
Se 0.227 4.331 0.000
Se 4.783 10.331 3.832
Se 4.821 10.029 0.000
Se 5.197 1.972 0.000
Se 5.236 1.669 3.832
Se 9.792 7.669 0.000
Se 9.830 7.972 3.832
O 0.570 1.235 1.951
O 0.570 1.235 5.713
O 1.343 11.381 0.000
O 1.490 11.406 3.832
O 1.980 6.289 2.015
O 1.980 6.289 5.649
O 2.138 9.303 1.891
O 2.138 9.303 5.773
O 2.871 3.303 1.941
O 2.871 3.303 5.723
O 3.029 0.289 1.817
O 3.029 0.289 5.847
O 3.519 5.406 0.000
O 3.666 5.381 3.832
O 4.439 7.235 1.881
O 4.439 7.235 5.783
O 5.579 4.766 1.881
O 5.579 4.766 5.783
O 6.352 6.620 3.832
O 6.499 6.595 0.000
O 6.989 11.712 1.817
O 6.989 11.712 5.847
O 7.147 8.698 1.941
O 7.147 8.698 5.723
O 7.880 2.697 1.891
O 7.880 2.697 5.773
O 8.039 5.711 2.015
O 8.039 5.711 5.649
O 8.528 0.594 3.832
O 8.675 0.620 0.000
O 9.448 10.766 1.951
O 9.448 10.766 5.713
```

Top 10 peaks for 2θ = 10–90°, sorted by position:
14.76°, I = 38; 27.62°, I = 61; 27.73°, I = 100; 29.05°, I = 98; 30.30°, I = 38; 30.64°, I = 39; 33.60°, I = 30; 37.12°, I = 30; 47.45°, I = 34; 53.31°, I = 36